Entry 1:
For Ba2Cd3In, a structure optimized by DFT (GGA-PBE) gives the calculated PXRD pattern in this record (copper Kα).
Kinematic intensities with the Lorentz-polarization factor, no thermal factor.

Structure:
```
12
Lattice="12.1099 0.0000 0.0000 0.0000 5.2684 0.0000 -5.9841 0.0000 6.0690" Properties=species:S:1:pos:R:3 pbc="T T T"
Ba 0.0000 0.0000 0.0000
Ba -2.3910 0.0000 3.6854
Ba 6.0550 2.6342 0.0000
Ba 3.6640 2.6342 3.6854
Cd 2.3943 2.6342 0.2277
Cd 1.2213 0.0000 3.5244
Cd 3.4999 0.0000 1.2289
Cd 8.4493 0.0000 0.2277
Cd 7.2763 2.6342 3.5244
Cd 9.5549 2.6342 1.2289
In 0.1918 2.6342 2.4428
In 6.2468 0.0000 2.4428
```

Principal peaks in the range 2θ = 10–80°, low angle first:
2θ (°)  d (Å)  I/Imax
28.73  3.107  58.7
28.87  3.093  100.0
29.47  3.031  35.5
33.20  2.698  40.6
34.03  2.634  49.0
35.58  2.523  61.5
45.63  1.988  20.9
48.28  1.885  27.6
56.28  1.634  16.1
57.75  1.596  21.6

***

Entry 2:
For Tb2DyGa3PtAu2, a structure optimized by DFT (GGA-PBE) gives the calculated PXRD pattern in this record (copper Kα).
Kinematic intensities with the Lorentz-polarization factor, no thermal factor.

Structure:
```
9
Lattice="3.8728 0.0000 0.0000 0.0000 6.4572 3.7306 0.0000 -6.4572 3.7306" Properties=species:S:1:pos:R:3 pbc="T T T"
Tb 0.0000 -3.8561 3.7306
Tb 0.0000 3.8561 3.7306
Dy 0.0000 0.0000 4.5027
Ga 1.9364 -1.6094 2.4336
Ga 1.9364 1.6094 2.4336
Ga 1.9364 0.0000 7.1049
Pt 0.0000 0.0000 1.5095
Au 1.9364 -2.1435 5.2316
Au 1.9364 2.1435 5.2316
```

Principal peaks in the range 2θ = 10–80°, low angle first:
2θ (°)  d (Å)  I/Imax
23.86  3.729  34.7
26.84  3.322  18.5
33.35  2.686  80.2
36.22  2.480  100.0
36.81  2.441  25.5
41.96  2.153  51.0
43.84  2.065  41.9
46.92  1.936  25.0
64.75  1.440  28.4
67.70  1.384  32.7

***

Entry 3:
For Li2ZrF6, a structure optimized by DFT (GGA-PBE) gives the calculated PXRD pattern in this record (copper Kα).
Kinematic intensities with the Lorentz-polarization factor, no thermal factor.

Structure:
```
18
Lattice="4.5676 0.0000 0.0000 0.0000 4.5676 0.0000 0.0000 0.0000 8.7889" Properties=species:S:1:pos:R:3 pbc="T T T"
Li 0.0000 0.0000 1.4432
Li 0.0000 0.0000 7.3457
Li 2.2838 2.2838 2.9512
Li 2.2838 2.2838 5.8377
Zr 0.0000 0.0000 4.3944
Zr 2.2838 2.2838 0.0000
F 0.8692 0.8692 0.0000
F 0.9456 0.9456 2.8850
F 0.9456 0.9456 5.9039
F 1.3382 3.2294 1.5095
F 1.3382 3.2294 7.2794
F 1.4146 3.1530 4.3944
F 3.1530 1.4146 4.3944
F 3.2294 1.3382 1.5095
F 3.2294 1.3382 7.2794
F 3.6220 3.6220 2.8850
F 3.6220 3.6220 5.9039
F 3.6984 3.6984 0.0000
```

Principal peaks in the range 2θ = 10–80°, low angle first:
2θ (°)  d (Å)  I/Imax
20.21  4.394  30.9
21.93  4.053  100.0
27.62  3.230  53.4
34.46  2.602  36.5
36.43  2.466  17.6
41.62  2.170  28.1
44.72  2.026  19.7
45.59  1.990  32.1
54.79  1.676  37.8
69.59  1.351  17.0

***

Entry 4:
For GaCoSi17Ge13, a structure optimized by DFT (GGA-PBE) gives the calculated PXRD pattern in this record (copper Kα).
Kinematic intensities with the Lorentz-polarization factor, no thermal factor.

Structure:
```
32
Lattice="5.5810 0.0000 0.0000 0.0000 3.9217 0.0000 -0.0283 0.0000 31.4401" Properties=species:S:1:pos:R:3 pbc="T T T"
Ga 0.0000 0.0000 0.0000
Co 4.2169 0.0000 1.8983
Si 0.0245 0.0000 3.6286
Si 0.0810 0.0000 11.6825
Si 0.1268 0.0000 19.5508
Si 1.4779 1.9609 19.5610
Si 1.5437 1.9609 15.5371
Si 1.5571 1.9609 7.6196
Si 1.5413 1.9609 23.3795
Si 2.8580 1.9609 25.3371
Si 2.9267 1.9609 5.7004
Si 2.9156 1.9609 21.4485
Si 2.9129 1.9609 29.3282
Si 2.9331 1.9609 13.6288
Si 3.1468 1.9609 1.9152
Si 4.2426 0.0000 29.3602
Si 4.2707 0.0000 13.5856
Si 4.2818 0.0000 5.6317
Si 4.2685 0.0000 21.4199
Ge 0.0609 0.0000 27.4003
Ge 0.1450 0.0000 7.6019
Ge 0.1392 0.0000 15.5174
Ge 0.1319 0.0000 23.3601
Ge 1.4817 1.9609 11.6947
Ge 1.4929 1.9609 3.7208
Ge 1.5267 1.9609 27.3520
Ge 1.6586 1.9609 31.4030
Ge 2.8526 1.9609 17.5636
Ge 2.8678 1.9609 9.6442
Ge 4.2592 0.0000 25.3578
Ge 4.3335 0.0000 17.5674
Ge 4.3445 0.0000 9.6655
```

Principal peaks in the range 2θ = 10–80°, low angle first:
2θ (°)  d (Å)  I/Imax
11.26  7.860  9.6
27.78  3.211  100.0
46.14  1.967  58.3
46.30  1.961  12.1
54.59  1.681  13.7
54.77  1.676  6.8
54.83  1.674  21.0
67.48  1.388  7.3
74.26  1.277  7.7
74.35  1.276  5.5

***

Entry 5:
For Li2Sc2Al2NiPd, a structure optimized by DFT (GGA-PBE) gives the calculated PXRD pattern in this record (copper Kα).
Kinematic intensities with the Lorentz-polarization factor, no thermal factor.

Structure:
```
8
Lattice="4.4238 0.0000 0.0000 0.0000 4.4238 0.0000 0.0000 0.0000 6.2929" Properties=species:S:1:pos:R:3 pbc="T T T"
Li 0.0000 0.0000 0.0000
Li 2.2119 2.2119 3.1464
Sc 0.0000 2.2119 1.4858
Sc 2.2119 0.0000 4.8071
Al 0.0000 2.2119 4.7734
Al 2.2119 0.0000 1.5195
Ni 2.2119 2.2119 0.0000
Pd 0.0000 0.0000 3.1464
```

Principal peaks in the range 2θ = 10–80°, low angle first:
2θ (°)  d (Å)  I/Imax
24.60  3.619  100.0
40.67  2.218  97.2
40.80  2.212  48.6
48.00  1.895  15.6
48.22  1.887  30.9
58.68  1.573  7.6
59.06  1.564  15.5
64.78  1.439  12.1
73.93  1.282  14.7
74.18  1.278  30.1

***

Entry 6:
For CsKCuAs, a structure optimized by DFT (GGA-PBE) gives the calculated PXRD pattern in this record (copper Kα).
Kinematic intensities with the Lorentz-polarization factor, no thermal factor.

Structure:
```
16
Lattice="6.3755 0.0000 0.0000 0.0000 7.6401 0.0000 0.0000 0.0000 10.7116" Properties=species:S:1:pos:R:3 pbc="T T T"
Cs 1.5939 1.1934 0.0000
Cs 1.5939 5.0135 5.3558
Cs 4.7816 2.6267 5.3558
Cs 4.7816 6.4467 0.0000
K 1.5939 1.2162 7.1336
K 1.5939 5.0362 1.7778
K 4.7816 2.6039 1.7778
K 4.7816 6.4240 7.1336
Cu 0.0000 0.0000 3.5003
Cu 0.0000 3.8201 8.8561
Cu 3.1877 0.0000 3.5003
Cu 3.1877 3.8201 8.8561
As 1.5939 1.7266 3.6269
As 1.5939 5.5466 8.9827
As 4.7816 2.0935 8.9827
As 4.7816 5.9136 3.6269
```

Principal peaks in the range 2θ = 10–80°, low angle first:
2θ (°)  d (Å)  I/Imax
16.55  5.356  22.3
19.94  4.452  22.6
27.21  3.277  48.0
27.58  3.235  43.7
27.99  3.188  21.9
31.00  2.885  100.0
31.54  2.837  25.1
36.72  2.448  29.0
51.45  1.776  23.0
52.66  1.738  32.5

***

Entry 7:
For Al2B6Mo, a structure optimized by DFT (GGA-PBE) gives the calculated PXRD pattern in this record (copper Kα).
Kinematic intensities with the Lorentz-polarization factor, no thermal factor.

Structure:
```
36
Lattice="9.0135 0.0000 0.0000 0.0000 10.6905 0.0000 0.0000 0.0000 3.4800" Properties=species:S:1:pos:R:3 pbc="T T T"
Al 0.4374 1.3815 0.0000
Al 1.1908 4.3627 0.0000
Al 3.3160 9.7080 0.0000
Al 4.0694 6.7267 0.0000
Al 4.9441 3.9638 0.0000
Al 5.6975 0.9825 0.0000
Al 7.8228 6.3278 0.0000
Al 8.5762 9.3090 0.0000
B 0.1045 3.1080 1.7400
B 0.5884 5.9759 1.7400
B 0.7955 10.4483 1.7400
B 1.2092 8.8267 1.7400
B 1.7518 2.6755 1.7400
B 2.0764 0.8385 1.7400
B 2.4304 6.1837 1.7400
B 2.7550 8.0208 1.7400
B 3.2975 3.4815 1.7400
B 3.7113 5.1031 1.7400
B 3.9184 0.6307 1.7400
B 4.4022 8.4533 1.7400
B 4.6113 2.2372 1.7400
B 5.0951 10.0598 1.7400
B 5.3023 5.5874 1.7400
B 5.7160 7.2090 1.7400
B 6.2585 2.6697 1.7400
B 6.5831 4.5068 1.7400
B 6.9372 9.8520 1.7400
B 7.2618 8.0150 1.7400
B 7.8043 1.8638 1.7400
B 8.2180 0.2422 1.7400
B 8.4252 4.7146 1.7400
B 8.9090 7.5825 1.7400
Mo 1.3996 7.2514 0.0000
Mo 3.1071 1.9061 0.0000
Mo 5.9064 8.7844 0.0000
Mo 7.6139 3.4391 0.0000
```

Principal peaks in the range 2θ = 10–80°, low angle first:
2θ (°)  d (Å)  I/Imax
16.58  5.345  63.5
19.31  4.598  100.0
21.40  4.153  85.8
25.60  3.480  76.5
32.26  2.775  45.1
33.59  2.668  54.6
39.22  2.297  50.6
40.56  2.224  60.0
43.88  2.063  83.9
47.42  1.917  81.2

***

Entry 8:
For NbSbN2O, a structure optimized by DFT (GGA-PBE) gives the calculated PXRD pattern in this record (copper Kα).
Kinematic intensities with the Lorentz-polarization factor, no thermal factor.

Structure:
```
10
Lattice="5.4635 0.0000 0.0000 0.0000 5.4635 0.0000 -0.0114 0.0000 4.8066" Properties=species:S:1:pos:R:3 pbc="T T T"
Nb 0.0000 0.0000 0.0000
Nb 2.7318 2.7317 0.0000
Sb 2.7213 0.0000 2.9336
Sb 5.4530 2.7317 2.9336
N 1.3585 1.3644 4.0529
N 1.3585 4.0991 4.0529
N 4.0903 1.3674 4.0529
N 4.0903 4.0961 4.0529
O -0.0012 0.0000 1.8154
O 2.7306 2.7317 1.8154
```

Principal peaks in the range 2θ = 10–80°, low angle first:
2θ (°)  d (Å)  I/Imax
18.46  4.807  17.0
29.67  3.011  100.0
32.78  2.732  41.6
44.39  2.041  19.6
47.04  1.932  22.9
50.56  1.805  13.5
56.61  1.626  31.6
67.78  1.383  7.2
68.72  1.366  6.8
78.25  1.222  6.7

***

Entry 9:
For Y4CdNiN2, a structure optimized by DFT (GGA-PBE) gives the calculated PXRD pattern in this record (copper Kα).
Kinematic intensities with the Lorentz-polarization factor, no thermal factor.

Structure:
```
8
Lattice="3.5185 0.0000 0.0000 -1.7593 3.0471 0.0000 0.0000 0.0000 14.7797" Properties=species:S:1:pos:R:3 pbc="T T T"
Y 0.0000 0.0000 1.9543
Y 0.0000 0.0000 12.8255
Y 1.7593 1.0157 4.7198
Y 1.7593 1.0157 10.0599
Cd 0.0000 0.0000 7.3899
Ni 1.7593 1.0157 0.0000
N 0.0000 2.0314 3.4841
N 0.0000 2.0314 11.2956
```

Principal peaks in the range 2θ = 10–80°, low angle first:
2θ (°)  d (Å)  I/Imax
29.31  3.047  25.5
30.24  2.956  10.2
31.76  2.817  13.1
34.61  2.591  100.0
42.61  2.122  11.0
47.46  1.916  10.2
51.98  1.759  25.8
58.42  1.580  13.5
63.96  1.456  15.7
65.16  1.432  10.7

***

Entry 10:
For ReI4, a structure optimized by DFT (GGA-PBE) gives the calculated PXRD pattern in this record (copper Kα).
Kinematic intensities with the Lorentz-polarization factor, no thermal factor.

Structure:
```
10
Lattice="6.9536 -3.5955 0.0000 6.9536 3.5955 0.0000 -6.0421 0.0000 7.3347" Properties=species:S:1:pos:R:3 pbc="T T T"
Re 6.9536 2.1851 0.0000
Re 6.9536 -2.1851 0.0000
I 1.8632 0.0000 1.2863
I 2.4298 1.9117 5.1321
I 5.4354 1.9117 2.2027
I -0.5821 0.0000 6.2884
I 8.4473 0.0000 1.0463
I 2.4298 -1.9117 5.1321
I 5.4354 -1.9117 2.2027
I 6.0020 0.0000 6.0484
```

Principal peaks in the range 2θ = 10–80°, low angle first:
2θ (°)  d (Å)  I/Imax
12.07  7.335  71.1
12.83  6.901  50.5
16.52  5.367  38.3
28.95  3.085  48.2
29.92  2.987  100.0
31.22  2.865  27.0
37.09  2.424  24.3
37.94  2.371  23.5
44.82  2.022  35.5
49.90  1.828  39.3

***

Entry 11:
For TlCu2BiS4, a structure optimized by DFT (GGA-PBE) gives the calculated PXRD pattern in this record (copper Kα).
Kinematic intensities with the Lorentz-polarization factor, no thermal factor.

Structure:
```
16
Lattice="6.9986 0.0000 0.0000 0.0000 9.8700 2.8204 0.0000 -9.8700 2.8204" Properties=species:S:1:pos:R:3 pbc="T T T"
Tl 1.7497 -7.2289 2.8204
Tl 5.2490 7.2289 2.8204
Cu 0.0000 0.0000 1.9290
Cu 1.7497 -1.8105 4.7550
Cu 3.4993 0.0000 1.9290
Cu 5.2490 1.8105 4.7550
Bi 1.7497 -3.7740 2.4665
Bi 5.2490 3.7740 2.4665
S 0.0115 -1.9221 3.1583
S 1.7497 -0.1430 0.5409
S 1.7497 5.8991 2.7327
S 3.4878 -1.9221 3.1583
S 3.5108 1.9221 3.1583
S 5.2490 0.1430 0.5409
S 5.2490 -5.8991 2.7327
S 6.9871 1.9221 3.1583
```

Principal peaks in the range 2θ = 10–80°, low angle first:
2θ (°)  d (Å)  I/Imax
20.72  4.287  100.0
25.45  3.499  33.8
27.05  3.296  24.8
27.58  3.234  36.1
30.01  2.977  38.0
30.42  2.938  59.2
35.55  2.526  24.4
37.89  2.375  31.1
42.17  2.143  30.5
44.25  2.047  41.1

***

Entry 12:
For KNaNdOsO5, a structure optimized by DFT (GGA-PBE) gives the calculated PXRD pattern in this record (copper Kα).
Kinematic intensities with the Lorentz-polarization factor, no thermal factor.

Structure:
```
18
Lattice="5.7417 0.0000 0.0000 0.0000 5.7417 0.0000 0.0000 0.0000 8.0317" Properties=species:S:1:pos:R:3 pbc="T T T"
K 1.4354 4.3063 0.0000
K 4.3063 1.4354 0.0000
Na 1.4354 1.4354 1.8578
Na 4.3063 4.3063 6.1740
Nd 1.4354 4.3063 4.0159
Nd 4.3063 1.4354 4.0159
Os 1.4354 1.4354 5.8517
Os 4.3063 4.3063 2.1801
O 0.0781 0.0781 5.4473
O 0.0781 2.7928 5.4473
O 1.4354 1.4354 7.7119
O 2.7928 0.0781 5.4473
O 2.7928 2.7928 5.4473
O 2.9490 2.9490 2.5844
O 2.9490 5.6636 2.5844
O 4.3063 4.3063 0.3198
O 5.6636 2.9490 2.5844
O 5.6636 5.6636 2.5844
```

Principal peaks in the range 2θ = 10–80°, low angle first:
2θ (°)  d (Å)  I/Imax
11.02  8.032  38.5
19.00  4.671  69.5
24.57  3.623  12.6
31.15  2.871  43.3
31.33  2.855  100.0
36.75  2.446  23.7
44.64  2.030  29.7
55.55  1.654  39.3
55.88  1.645  20.4
73.85  1.283  16.3